Computed powder XRD pattern of PuV2O6 for Cu Kα (weighted mean of Kα1 and Kα2), from DFT lattice parameters and positions (GGA+U).
Neutral-atom scattering factors, no anomalous dispersion.

Main lines, in order of falling intensity (2θ from 10° to 90°):
2theta, I (rel.)
27.6, 100
20.3, 39
52.7, 29
35.5, 26
45.5, 26
59.0, 24
43.1, 14
40.3, 12

Atomic structure:
```
9
Lattice="5.0614 0.0000 0.0000 -2.5307 4.3833 0.0000 0.0000 0.0000 4.7807" Properties=species:S:1:pos:R:3 pbc="T T T"
Pu 0.0000 0.0000 0.0000
V 0.0000 2.9222 2.3904
V 2.5307 1.4611 2.3904
O -0.8855 1.5338 1.3078
O -1.6452 2.8495 3.4729
O 1.7711 0.0000 1.3078
O 0.8855 1.5338 3.4729
O 3.2904 0.0000 3.4729
O 1.6452 2.8495 1.3078
```

Computed powder XRD pattern of PuVZn2O6 for Cu Kα (weighted mean of Kα1 and Kα2), from DFT lattice parameters and positions (GGA+U).
Neutral-atom scattering factors, no anomalous dispersion.

Main lines, in order of falling intensity (2θ from 10° to 90°):
2theta, I (rel.)
30.0, 100
33.5, 85
29.6, 46
22.6, 45
16.8, 41
33.6, 40
13.4, 37
34.8, 34

Atomic structure:
```
20
Lattice="5.3620 -4.2606 0.0000 5.3620 4.2606 0.0000 -1.0274 0.0000 5.3338" Properties=species:S:1:pos:R:3 pbc="T T T"
Pu 4.5915 2.8609 4.0004
Pu 5.1052 -2.8609 1.3335
V 5.1052 0.7986 1.3335
V 4.5915 -0.7986 4.0004
Zn 1.6007 0.9386 4.2162
Zn 2.1144 -0.9386 1.5493
Zn 7.5822 0.9386 3.7845
Zn 8.0959 -0.9386 1.1176
O 1.3100 0.3014 0.2048
O 0.7963 -0.3014 2.8717
O 3.7473 1.8527 1.9640
O 3.4542 0.8609 4.7277
O 6.4630 1.8527 0.7029
O 5.7288 0.8609 3.2730
O 3.9679 -0.8609 2.0608
O 3.2336 -1.8527 4.6309
O 6.2425 -0.8609 0.6061
O 5.9493 -1.8527 3.3698
O 8.9003 0.3014 2.4621
O 8.3866 -0.3014 5.1290
```

Computed powder XRD pattern of PuWO5 for Cu Kα (weighted mean of Kα1 and Kα2), from DFT lattice parameters and positions (GGA+U).
Neutral-atom scattering factors, no anomalous dispersion.

Main lines, in order of falling intensity (2θ from 10° to 90°):
2theta, I (rel.)
26.8, 100
22.1, 84
35.0, 71
27.1, 53
35.2, 38
53.2, 31
53.1, 28
47.7, 25

Atomic structure:
```
14
Lattice="3.8519 0.0000 0.0000 0.0000 6.5889 0.0000 0.0000 0.0000 8.0405" Properties=species:S:1:pos:R:3 pbc="T T T"
Pu 0.0000 0.0000 0.0000
Pu 1.9259 3.2945 4.0202
W 0.0000 0.0000 4.0202
W 1.9259 3.2945 0.0000
O 0.0000 0.0000 2.0866
O 0.0000 0.0000 5.9539
O 0.0000 1.9576 4.0202
O 0.0000 3.2945 0.0000
O 0.0000 4.6313 4.0202
O 1.9259 0.0000 4.0202
O 1.9259 1.3368 0.0000
O 1.9259 3.2945 1.9336
O 1.9259 3.2945 6.1069
O 1.9259 5.2521 0.0000
```